The following is a theoretical powder diffractogram of Ca2SiO4F. It was derived from a crystal structure in the Materials Project, relaxed with GGA-PBE, using Cu Ka.

The 6 most intense peaks (2θ from 10° to 90°), most intense first:
two_theta, intensity
29.2, 100
33.4, 88
30.4, 54
28.9, 52
30.1, 49
41.3, 43

```
Ca2SiO4F
1.0
5.9596 0.0000 0.0000
0.0000 10.7256 0.0000
-1.0882 0.0000 6.5675
Ca Si O F
8 4 16 4
direct
0.1912 0.1900 0.1689 Ca
0.1912 0.3100 0.6689 Ca
0.2643 0.5849 0.0608 Ca
0.2643 0.9151 0.5608 Ca
0.7357 0.0849 0.4392 Ca
0.7357 0.4151 0.9392 Ca
0.8088 0.6900 0.3311 Ca
0.8088 0.8100 0.8311 Ca
0.3348 0.6284 0.6111 Si
0.3348 0.8716 0.1111 Si
0.6652 0.1284 0.8889 Si
0.6652 0.3716 0.3889 Si
0.1404 0.7120 0.7101 O
0.1404 0.7880 0.2101 O
0.1737 0.5833 0.3953 O
0.1737 0.9167 0.8953 O
0.4010 0.5070 0.7558 O
0.4010 0.9930 0.2558 O
0.4614 0.2217 0.9254 O
0.4614 0.2783 0.4254 O
0.5386 0.7217 0.5746 O
0.5386 0.7783 0.0746 O
0.5990 0.0070 0.7442 O
0.5990 0.4930 0.2442 O
0.8263 0.0833 0.1047 O
0.8263 0.4167 0.6047 O
0.8596 0.2120 0.7899 O
0.8596 0.2880 0.2899 O
0.1277 0.1126 0.5089 F
0.1277 0.3874 0.0089 F
0.8723 0.6126 0.9911 F
0.8723 0.8874 0.4911 F
```

The following is a theoretical powder diffractogram of Ca3Ta4O12F2. It was derived from a crystal structure in the Materials Project, relaxed with GGA-PBE, using Cu Ka.

The 6 most intense peaks (2θ from 10° to 90°), most intense first:
two_theta, intensity
29.3, 100
14.5, 87
34.1, 42
28.1, 39
29.8, 34
58.1, 33

```
Ca3Ta4O12F2
1.0
3.7455 2.1625 6.0012
-3.7455 2.1625 6.0012
0.0000 -4.3250 6.0012
Ca Ta O F
3 4 12 2
direct
0.0000 0.5000 0.5000 Ca
0.5000 0.0000 0.5000 Ca
0.5000 0.5000 0.0000 Ca
0.0000 0.0000 0.0000 Ta
0.0000 0.0000 0.5000 Ta
0.0000 0.5000 0.0000 Ta
0.5000 0.0000 0.0000 Ta
0.0559 0.6854 0.6854 O
0.0710 0.0710 0.6818 O
0.0710 0.6818 0.0710 O
0.3146 0.3146 0.9441 O
0.3146 0.9441 0.3146 O
0.3182 0.9290 0.9290 O
0.6818 0.0710 0.0710 O
0.6854 0.0559 0.6854 O
0.6854 0.6854 0.0559 O
0.9290 0.3182 0.9290 O
0.9290 0.9290 0.3182 O
0.9441 0.3146 0.3146 O
0.3625 0.3625 0.3625 F
0.6375 0.6375 0.6375 F
```